1.
Computed XRD peak list of Tb2Dy5In4 for λ = 1.5418 Å (Cu Kα), from a structure optimized by DFT (GGA-PBE).
Intensities are scaled so that the largest is 100.

Atomic structure:
```
data_Tb2Dy5In4
_cell_length_a 8.598
_cell_length_b 3.431
_cell_length_c 10.514
_cell_angle_alpha 90.00
_cell_angle_beta 96.12
_cell_angle_gamma 90.00
_symmetry_space_group_name_H-M 'P 1 2/m 1'
_symmetry_Int_Tables_number 10
_symmetry_space_group_name_Hall '-P 2y'
loop_
_atom_site_label
_atom_site_fract_x
_atom_site_fract_y
_atom_site_fract_z
Tb1 0.084 0.000 0.139
Dy1 0.163 0.000 0.644
Dy2 0.464 0.000 0.168
Dy3 0.500 0.000 0.500
In1 0.199 0.500 0.384
In2 0.248 0.500 0.923
```

Peak list (8 most intense, 10° ≤ 2θ ≤ 90°, by angle)
- hkl 3 0 0, 31.37 deg, d 2.851, I = 47
- hkl 1 1 -2, 32.34 deg, d 2.769, I = 40
- hkl 1 1 2, 33.51 deg, d 2.674, I = 100
- hkl 1 0 -4, 34.81 deg, d 2.577, I = 26
- hkl 2 0 3, 34.91 deg, d 2.570, I = 25
- hkl 2 1 -2, 36.72 deg, d 2.447, I = 42
- hkl 2 1 -3, 41.16 deg, d 2.193, I = 23
- hkl 0 1 6, 59.50 deg, d 1.554, I = 28

---

2.
Computed XRD peak list of AcLaAl2Ge for λ = 1.5418 Å (Cu Kα), from a structure optimized by DFT (GGA-PBE).
Intensities are scaled so that the largest is 100.

Atomic structure:
```
data_AcLaAl2Ge
_cell_length_a 4.490
_cell_length_b 4.788
_cell_length_c 12.973
_cell_angle_alpha 90.00
_cell_angle_beta 90.00
_cell_angle_gamma 90.00
_symmetry_space_group_name_H-M 'I m m 2'
_symmetry_Int_Tables_number 44
_symmetry_space_group_name_Hall 'I 2 -2'
loop_
_atom_site_label
_atom_site_fract_x
_atom_site_fract_y
_atom_site_fract_z
Ac1 0.000 0.000 0.000
La1 0.000 0.500 0.761
Al1 0.000 0.000 0.607
Al2 0.000 0.500 0.224
Ge1 0.000 0.000 0.415
```

Peak list (8 most intense, 10° ≤ 2θ ≤ 90°, by angle)
- hkl 0 1 1, 19.77 deg, d 4.492, I = 25
- hkl 1 0 1, 20.94 deg, d 4.243, I = 20
- hkl 0 1 3, 27.80 deg, d 3.209, I = 28
- hkl 1 0 3, 28.66 deg, d 3.115, I = 21
- hkl 1 1 2, 30.58 deg, d 2.924, I = 100
- hkl 0 2 0, 37.57 deg, d 2.394, I = 19
- hkl 2 0 0, 40.15 deg, d 2.246, I = 37
- hkl 2 2 0, 56.15 deg, d 1.638, I = 27

---

3.
Computed XRD peak list of PaSBr3 for λ = 1.5418 Å (Cu Kα), from a structure optimized by DFT (GGA-PBE).
Intensities are scaled so that the largest is 100.

Atomic structure:
```
data_PaSBr3
_cell_length_a 8.292
_cell_length_b 9.887
_cell_length_c 10.003
_cell_angle_alpha 90.00
_cell_angle_beta 90.00
_cell_angle_gamma 90.00
_symmetry_space_group_name_H-M 'I m m a'
_symmetry_Int_Tables_number 74
_symmetry_space_group_name_Hall '-I 2b 2'
loop_
_atom_site_label
_atom_site_fract_x
_atom_site_fract_y
_atom_site_fract_z
Pa1 0.250 0.250 0.250
S1 0.000 0.250 0.096
Br1 0.000 0.250 0.451
Br2 0.250 0.021 0.750
```

Peak list (8 most intense, 10° ≤ 2θ ≤ 90°, by angle)
- hkl 0 1 1, 12.59 deg, d 7.032, I = 100
- hkl 0 0 2, 17.73 deg, d 5.001, I = 37
- hkl 2 0 2, 27.95 deg, d 3.192, I = 57
- hkl 0 3 1, 28.52 deg, d 3.130, I = 27
- hkl 2 1 3, 35.73 deg, d 2.513, I = 25
- hkl 0 0 4, 35.94 deg, d 2.499, I = 26
- hkl 2 3 3, 44.40 deg, d 2.040, I = 22
- hkl 2 4 2, 46.47 deg, d 1.954, I = 26

---

Copy entry 2 word for word.
Computed XRD peak list of AcLaAl2Ge for λ = 1.5418 Å (Cu Kα), from a structure optimized by DFT (GGA-PBE).
Intensities are scaled so that the largest is 100.

Atomic structure:
```
data_AcLaAl2Ge
_cell_length_a 4.490
_cell_length_b 4.788
_cell_length_c 12.973
_cell_angle_alpha 90.00
_cell_angle_beta 90.00
_cell_angle_gamma 90.00
_symmetry_space_group_name_H-M 'I m m 2'
_symmetry_Int_Tables_number 44
_symmetry_space_group_name_Hall 'I 2 -2'
loop_
_atom_site_label
_atom_site_fract_x
_atom_site_fract_y
_atom_site_fract_z
Ac1 0.000 0.000 0.000
La1 0.000 0.500 0.761
Al1 0.000 0.000 0.607
Al2 0.000 0.500 0.224
Ge1 0.000 0.000 0.415
```

Peak list (8 most intense, 10° ≤ 2θ ≤ 90°, by angle)
- hkl 0 1 1, 19.77 deg, d 4.492, I = 25
- hkl 1 0 1, 20.94 deg, d 4.243, I = 20
- hkl 0 1 3, 27.80 deg, d 3.209, I = 28
- hkl 1 0 3, 28.66 deg, d 3.115, I = 21
- hkl 1 1 2, 30.58 deg, d 2.924, I = 100
- hkl 0 2 0, 37.57 deg, d 2.394, I = 19
- hkl 2 0 0, 40.15 deg, d 2.246, I = 37
- hkl 2 2 0, 56.15 deg, d 1.638, I = 27